Structure and theoretical XRD peak list of Cr3B4Mo3 (a PBE-relaxed structure; CuKα).

Largest 10 diffraction maxima, by intensity, 10° ≤ 2θ ≤ 80°:
two_theta, I/Imax
42.99, 100.0
36.87, 76.6
48.88, 62.2
45.80, 60.4
34.03, 51.1
21.34, 41.1
43.43, 31.3
61.72, 15.6
75.47, 14.4
75.32, 14.4

Structural model:
Lattice parameters (Å, degrees): 3.0059 5.8919 5.8919 90.11 90.00 90.00
Element x y z (fractional)
Cr  0.0000  0.0000  0.0000
Cr  0.0000  0.5066  0.8425
Cr  0.0000  0.8425  0.5066
B  0.5000  0.0541  0.2844
B  0.5000  0.2844  0.0541
B  0.5000  0.5676  0.5676
B  0.5000  0.7858  0.7858
Mo  0.0000  0.3478  0.3478
Mo  0.5000  0.1696  0.6797
Mo  0.5000  0.6797  0.1696


Structure and theoretical XRD peak list of Cs2BrCl (a PBE-relaxed structure; CuKα).

Largest 10 diffraction maxima, by intensity, 10° ≤ 2θ ≤ 80°:
two_theta, I/Imax
29.26, 100.0
51.89, 38.5
41.86, 18.3
20.58, 16.0
60.69, 12.0
68.76, 11.0
47.08, 7.6
68.82, 5.5
36.04, 5.3
76.45, 4.1

Structural model:
Lattice parameters (Å, degrees): 6.1009 6.1009 4.3205 90.00 90.00 90.00
Element x y z (fractional)
Cs  0.0000  0.5000  0.0000
Cs  0.5000  0.0000  0.0000
Br  0.0000  0.0000  0.5000
Cl  0.5000  0.5000  0.5000


Structure and theoretical XRD peak list of Rb2GaAuI6 (a PBE-relaxed structure; CuKα).

Largest 10 diffraction maxima, by intensity, 10° ≤ 2θ ≤ 80°:
two_theta, I/Imax
30.56, 100.0
43.77, 73.8
26.39, 58.9
15.15, 45.0
72.22, 33.1
51.84, 26.0
54.33, 25.8
34.28, 25.0
46.58, 13.3
21.48, 12.3

Structural model:
Lattice parameters (Å, degrees): 8.2729 8.2729 8.2729 60.00 60.00 60.00
Element x y z (fractional)
Rb  0.2500  0.2500  0.2500
Rb  0.7500  0.7500  0.7500
Ga  0.0000  0.0000  0.0000
Au  0.5000  0.5000  0.5000
I  0.2477  0.2477  0.7523
I  0.2477  0.7523  0.2477
I  0.2477  0.7523  0.7523
I  0.7523  0.2477  0.2477
I  0.7523  0.2477  0.7523
I  0.7523  0.7523  0.2477